The following is a simulated PXRD pattern of Mg6SiSn. It was derived from a structure optimized by DFT (GGA-PBE), using Cu Kα X-rays.
Kinematic intensities with the Lorentz-polarization factor, no thermal factor.

a b c (Å): 5.1541 6.0837 11.0111
angles (deg): 90.00 90.00 90.00
Space group Amm2 (No. 38)
Inequivalent atoms, fractional coordinates:
Mg1 0.0000 0.0000 0.0000 x2
Mg2 0.0000 0.2402 0.2599 x4
Mg3 0.5000 0.0000 0.8370 x2
Mg4 0.5000 0.2498 0.0844 x4
Si1 0.5000 0.0000 0.3092 x2
Sn1 0.0000 0.0000 0.5094 x2

Peak list (12 most intense, 2θ from 5° to 70°, most intense first)
2.366 Å, I = 100
5.325 Å, I = 42
3.703 Å, I = 41
2.428 Å, I = 40
2.577 Å, I = 39
3.763 Å, I = 24
2.662 Å, I = 22
2.753 Å, I = 21
1.444 Å, I = 21
5.506 Å, I = 19
5.154 Å, I = 19
2.683 Å, I = 16